For Tb2TeBr3, DFT lattice parameters and positions (PBE) gives the calculated X-ray diffraction stick pattern in this record (a wavelength of 1.5418 Å).

Largest 10 diffraction maxima, in order of rising 2θ, 2θ = 10–90°:
2θ (°)  d (Å)  Rel. int.
13.06  6.779  100
24.64  3.613  47
24.90  3.576  61
25.22  3.532  44
30.30  2.949  86
32.74  2.736  48
33.78  2.653  72
41.12  2.195  67
42.86  2.110  44
43.20  2.094  43

Atomic structure:
Cell: 9.413 9.413 13.749 Å, 126.94 126.94 25.71°
Sites, in units of the cell vectors:
Tb: 0.109 0.109 0.438
Tb: 0.369 0.369 0.161
Tb: 0.631 0.631 0.839
Tb: 0.891 0.891 0.562
Te: 0.099 0.099 0.663
Te: 0.901 0.901 0.337
Br: 0.168 0.168 0.020
Br: 0.259 0.259 0.400
Br: 0.445 0.445 0.750
Br: 0.555 0.555 0.250
Br: 0.741 0.741 0.600
Br: 0.832 0.832 0.980

=====

For TbY2TmBr4, DFT lattice parameters and positions (PBE) gives the calculated X-ray diffraction stick pattern in this record (a wavelength of 1.5418 Å).

Largest 10 diffraction maxima, in order of rising 2θ, 2θ = 10–90°:
2θ (°)  d (Å)  Rel. int.
30.03  2.975  56
30.86  2.898  40
34.42  2.605  100
38.71  2.326  52
43.60  2.076  30
56.20  1.637  24
59.22  1.560  15
60.93  1.521  27
66.41  1.408  21
69.39  1.354  17

Atomic structure:
Cell: 7.808 6.169 6.922 Å, 72.97 49.07 57.96°
Sites, in units of the cell vectors:
Tb: 0.000 0.000 0.000
Y: 0.102 0.102 0.398
Y: 0.602 0.602 0.898
Tm: 0.497 0.497 0.503
Br: 0.003 0.499 0.997
Br: 0.100 0.604 0.396
Br: 0.499 0.003 0.501
Br: 0.604 0.100 0.900

=====

For TbZn3Br9, DFT lattice parameters and positions (PBE) gives the calculated X-ray diffraction stick pattern in this record (a wavelength of 1.5418 Å).

Largest 10 diffraction maxima, in order of rising 2θ, 2θ = 10–90°:
2θ (°)  d (Å)  Rel. int.
11.49  7.700  26
16.18  5.477  100
17.91  4.951  34
22.06  4.029  26
25.43  3.503  27
25.73  3.462  41
27.72  3.218  49
31.07  2.879  27
38.41  2.343  24
44.54  2.034  22

Atomic structure:
Cell: 10.467 10.467 13.466 Å, 124.11 124.11 53.48°
Sites, in units of the cell vectors:
Tb: 0.228 0.772 0.500
Tb: 0.772 0.228 0.000
Zn: 0.197 0.345 0.790
Zn: 0.345 0.197 0.290
Zn: 0.568 0.718 0.336
Zn: 0.718 0.568 0.836
Zn: 0.741 0.978 0.173
Zn: 0.978 0.741 0.673
Br: 0.018 0.504 0.920
Br: 0.070 0.910 0.675
Br: 0.122 0.152 0.081
Br: 0.152 0.122 0.581
Br: 0.222 0.469 0.444
Br: 0.237 0.540 0.775
Br: 0.327 0.700 0.309
Br: 0.469 0.222 0.944
Br: 0.504 0.018 0.420
Br: 0.540 0.237 0.275
Br: 0.567 0.833 0.974
Br: 0.577 0.615 0.631
Br: 0.615 0.577 0.131
Br: 0.700 0.327 0.809
Br: 0.788 0.919 0.795
Br: 0.833 0.567 0.474
Br: 0.910 0.070 0.175
Br: 0.919 0.788 0.295